Starting from the PBE+U geometry in Alexandria, the XRD peak list of Sr2ZnWO6 was simulated for Cu Kα.
Intensities are scaled so that the largest is 100.

The 8 most intense peaks (10 to 80 degrees two-theta), sorted by position:
| Position (°2θ) | d_spacing | I (rel.) |
| --- | --- | --- |
| 19.10 | 4.647 | 29 |
| 31.33 | 2.855 | 100 |
| 31.65 | 2.827 | 53 |
| 44.41 | 2.040 | 17 |
| 45.37 | 1.999 | 30 |
| 55.55 | 1.654 | 22 |
| 56.17 | 1.638 | 43 |
| 65.36 | 1.428 | 19 |

Cell and atoms:
```
Sr2ZnWO6
1.0
-2.8268 2.8268 4.0800
2.8268 -2.8268 4.0800
2.8268 2.8268 -4.0800
Sr Zn W O
2 1 1 6
direct
0.2500 0.7500 0.5000 Sr
0.7500 0.2500 0.5000 Sr
0.0000 0.0000 0.0000 Zn
0.5000 0.5000 0.0000 W
0.2140 0.3065 0.5206 O
0.2605 0.2605 0.0000 O
0.3065 0.7860 0.0925 O
0.6935 0.2140 0.9075 O
0.7395 0.7395 0.0000 O
0.7860 0.6935 0.4794 O
```